This entry pairs a crystal structure of Ge5Te5Au with its calculated powder diffractogram. Radiation: Cu Kα X-rays. Structure: DFT lattice parameters and positions (GGA-PBE).
Peak positions follow from Bragg's law for the DFT cell and can differ from measured ones.

Main lines, low angle first (15 to 90 degrees two-theta):
| 2theta | d_spacing | intensity |
| --- | --- | --- |
| 26.58 | 3.354 | 389 |
| 26.71 | 3.338 | 374 |
| 30.24 | 2.956 | 1000 |
| 30.90 | 2.894 | 999 |
| 31.43 | 2.847 | 863 |
| 43.78 | 2.068 | 723 |
| 44.34 | 2.043 | 346 |
| 44.65 | 2.029 | 652 |
| 54.73 | 1.677 | 328 |
| 55.02 | 1.669 | 364 |

Structure:
a = 7.188 Å, b = 7.188 Å, c = 8.178 Å
α = 108.46°, β = 108.46°, γ = 47.48°
Fractional positions:
Ge: 0.000 0.000 0.000
Ge: 0.322 0.322 0.157
Ge: 0.352 0.352 0.684
Ge: 0.648 0.648 0.316
Ge: 0.678 0.678 0.843
Te: 0.157 0.157 0.816
Te: 0.177 0.177 0.338
Te: 0.500 0.500 0.500
Te: 0.823 0.823 0.662
Te: 0.843 0.843 0.184
Au: 0.500 0.500 0.000